Record 1
Cd2SbPd5Pt: theoretical PXRD pattern (copper Kα), based on a crystal structure in Alexandria, relaxed with PBE.

Atomic structure:
```
data_Cd2SbPd5Pt
_chemical_formula_sum 'Cd4 Sb2 Pd10 Pt2'
_cell_length_a 7.850
_cell_length_b 7.850
_cell_length_c 7.850
_cell_angle_alpha 121.08
_cell_angle_beta 121.08
_cell_angle_gamma 88.13
_space_group_name_H-M_alt 'P 1'
_space_group_IT_number 1
_space_group_name_Hall 'P 1'
loop_
_atom_site_label
_atom_site_type_symbol
_atom_site_fract_x
_atom_site_fract_y
_atom_site_fract_z
Cd1 Cd 0.116 0.616 0.731
Cd2 Cd 0.384 0.116 0.500
Cd3 Cd 0.616 0.884 0.500
Cd4 Cd 0.884 0.384 0.269
Sb1 Sb 0.250 0.250 0.000
Sb2 Sb 0.750 0.750 0.000
Pd1 Pd 0.000 0.000 0.000
Pd2 Pd 0.063 0.163 0.500
Pd3 Pd 0.163 0.663 0.099
Pd4 Pd 0.337 0.437 0.500
Pd5 Pd 0.437 0.937 0.099
Pd6 Pd 0.500 0.500 0.000
Pd7 Pd 0.563 0.063 0.901
Pd8 Pd 0.663 0.563 0.500
Pd9 Pd 0.837 0.337 0.901
Pd10 Pd 0.937 0.837 0.500
Pt1 Pt 0.250 0.750 0.500
Pt2 Pt 0.750 0.250 0.500
```

The 10 most intense peaks (2θ from 15° to 90°), in order of rising 2θ:
16.2 deg, I 12
32.8 deg, I 69
35.3 deg, I 57
36.6 deg, I 12
39.6 deg, I 100
40.2 deg, I 21
43.0 deg, I 21
49.3 deg, I 15
49.9 deg, I 17
63.1 deg, I 21

***

Record 2
Sc2BiTe2: theoretical PXRD pattern (copper Kα), based on a crystal structure in Alexandria, relaxed with PBE.

Atomic structure:
```
data_Sc2BiTe2
_chemical_formula_sum 'Sc8 Bi4 Te8'
_cell_length_a 8.194
_cell_length_b 5.733
_cell_length_c 12.424
_cell_angle_alpha 90.00
_cell_angle_beta 90.00
_cell_angle_gamma 90.00
_space_group_name_H-M_alt 'P 1'
_space_group_IT_number 1
_space_group_name_Hall 'P 1'
loop_
_atom_site_label
_atom_site_type_symbol
_atom_site_fract_x
_atom_site_fract_y
_atom_site_fract_z
Sc1 Sc 0.119 0.250 0.095
Sc2 Sc 0.176 0.250 0.766
Sc3 Sc 0.324 0.750 0.266
Sc4 Sc 0.381 0.750 0.595
Sc5 Sc 0.619 0.250 0.405
Sc6 Sc 0.676 0.250 0.734
Sc7 Sc 0.824 0.750 0.234
Sc8 Sc 0.881 0.750 0.905
Bi1 Bi 0.065 0.750 0.451
Bi2 Bi 0.435 0.250 0.951
Bi3 Bi 0.565 0.750 0.049
Bi4 Bi 0.935 0.250 0.549
Te1 Te 0.104 0.750 0.088
Te2 Te 0.193 0.750 0.789
Te3 Te 0.307 0.250 0.289
Te4 Te 0.396 0.250 0.588
Te5 Te 0.604 0.750 0.412
Te6 Te 0.693 0.750 0.711
Te7 Te 0.807 0.250 0.211
Te8 Te 0.896 0.250 0.912
```

The 10 most intense peaks (2θ from 15° to 90°), in order of rising 2θ:
24.1 deg, I 32
26.1 deg, I 56
26.6 deg, I 79
26.7 deg, I 65
27.7 deg, I 25
30.7 deg, I 100
31.2 deg, I 91
41.1 deg, I 35
44.3 deg, I 72
49.5 deg, I 24

***

Record 3
Sr4TlCu2BiO10: theoretical PXRD pattern (copper Kα), based on a crystal structure in Alexandria, relaxed with PBE.

Atomic structure:
```
data_Sr4TlCu2BiO10
_chemical_formula_sum 'Sr4 Tl1 Cu2 Bi1 O10'
_cell_length_a 9.915
_cell_length_b 9.915
_cell_length_c 9.915
_cell_angle_alpha 149.05
_cell_angle_beta 149.05
_cell_angle_gamma 44.34
_space_group_name_H-M_alt 'P 1'
_space_group_IT_number 1
_space_group_name_Hall 'P 1'
loop_
_atom_site_label
_atom_site_type_symbol
_atom_site_fract_x
_atom_site_fract_y
_atom_site_fract_z
Sr1 Sr 0.148 0.648 0.500
Sr2 Sr 0.352 0.852 0.500
Sr3 Sr 0.648 0.148 0.500
Sr4 Sr 0.852 0.352 0.500
Tl1 Tl 0.000 0.000 0.000
Cu1 Cu 0.253 0.253 0.000
Cu2 Cu 0.747 0.747 0.000
Bi1 Bi 0.500 0.500 0.000
O1 O 0.000 0.000 0.500
O2 O 0.000 0.500 0.000
O3 O 0.000 0.500 0.500
O4 O 0.114 0.114 0.000
O5 O 0.380 0.380 0.000
O6 O 0.500 0.000 0.000
O7 O 0.500 0.000 0.500
O8 O 0.500 0.500 0.500
O9 O 0.620 0.620 0.000
O10 O 0.886 0.886 0.000
```

The 10 most intense peaks (2θ from 15° to 90°), in order of rising 2θ:
25.7 deg, I 32
30.8 deg, I 100
33.9 deg, I 62
39.3 deg, I 19
45.3 deg, I 24
48.7 deg, I 28
52.8 deg, I 24
55.8 deg, I 22
58.7 deg, I 34
64.2 deg, I 15